# 1
Diffraction record for Lu2MgSe4. The X-ray diffraction stick pattern is simulated, not measured: it uses a DFT-relaxed cell (GGA-PBE, the Materials Project) and Cu Kα X-rays.

The 10 most intense peaks (2θ = 5–70°), by intensity:
d [Å]  I/Imax
2.120  100
3.613  80
4.528  69
2.007  68
2.978  57
3.454  51
3.656  34
2.608  33
1.921  27
2.386  27

a = 7.333 Å, b = 8.489 Å, c = 13.809 Å
α = 81.08°, β = 84.81°, γ = 89.96°
Element x y z (fractional)
Lu 0.132 0.446 0.202
Lu 0.132 0.954 0.199
Lu 0.258 0.125 0.500
Lu 0.363 0.300 0.799
Lu 0.637 0.700 0.201
Lu 0.742 0.875 0.500
Lu 0.868 0.046 0.801
Lu 0.868 0.554 0.798
Mg 0.251 0.625 0.502
Mg 0.367 0.801 0.798
Mg 0.633 0.199 0.202
Mg 0.749 0.375 0.498
Se 0.100 0.403 0.397
Se 0.101 0.899 0.395
Se 0.191 0.026 0.876
Se 0.191 0.537 0.875
Se 0.312 0.719 0.123
Se 0.320 0.219 0.124
Se 0.396 0.846 0.608
Se 0.401 0.352 0.604
Se 0.599 0.648 0.396
Se 0.604 0.154 0.392
Se 0.680 0.781 0.876
Se 0.688 0.281 0.877
Se 0.809 0.463 0.125
Se 0.809 0.974 0.124
Se 0.899 0.101 0.605
Se 0.900 0.597 0.603

=====

# 2
Diffraction record for DyEr. The X-ray diffraction stick pattern is simulated, not measured: it uses a DFT-relaxed cell (GGA-PBE, the Materials Project) and Cu Kα X-rays.

The 10 most intense peaks (2θ = 5–70°), by intensity:
d [Å]  I/Imax
2.724  100
2.841  25
3.103  24
1.515  23
1.617  21
1.792  20
1.497  16
2.095  16
1.362  4
1.552  3

a = 3.583 Å, b = 3.583 Å, c = 5.681 Å
α = 90.00°, β = 90.00°, γ = 120.00°
Element x y z (fractional)
Dy 0.000 0.000 0.000
Er 0.667 0.333 0.500

=====

# 3
Diffraction record for PbI2. The X-ray diffraction stick pattern is simulated, not measured: it uses a DFT-relaxed cell (GGA-PBE, the Materials Project) and Cu Kα X-rays.

The 10 most intense peaks (2θ = 5–70°), by intensity:
d [Å]  I/Imax
3.530  100
2.325  66
7.336  63
2.712  35
1.440  34
3.250  23
2.971  22
2.090  22
2.217  21
1.942  19

a = 4.650 Å, b = 4.650 Å, c = 110.036 Å
α = 90.00°, β = 90.00°, γ = 120.00°
Element x y z (fractional)
Pb 0.000 0.000 0.000
Pb 0.000 0.000 0.067
Pb 0.000 0.000 0.133
Pb 0.000 0.000 0.267
Pb 0.000 0.000 0.400
Pb 0.000 0.000 0.467
Pb 0.000 0.000 0.600
Pb 0.000 0.000 0.667
Pb 0.000 0.000 0.800
Pb 0.000 0.000 0.867
Pb 0.667 0.333 0.200
Pb 0.667 0.333 0.333
Pb 0.667 0.333 0.533
Pb 0.667 0.333 0.733
Pb 0.667 0.333 0.933
I 0.000 0.000 0.183
I 0.000 0.000 0.316
I 0.000 0.000 0.516
I 0.000 0.000 0.716
I 0.000 0.000 0.916
I 0.333 0.667 0.017
I 0.333 0.667 0.084
I 0.333 0.667 0.150
I 0.333 0.667 0.217
I 0.333 0.667 0.284
I 0.333 0.667 0.350
I 0.333 0.667 0.417
I 0.333 0.667 0.484
I 0.333 0.667 0.550
I 0.333 0.667 0.617
I 0.333 0.667 0.684
I 0.333 0.667 0.750
I 0.333 0.667 0.817
I 0.333 0.667 0.884
I 0.333 0.667 0.950
I 0.667 0.333 0.050
I 0.667 0.333 0.116
I 0.667 0.333 0.250
I 0.667 0.333 0.383
I 0.667 0.333 0.450
I 0.667 0.333 0.583
I 0.667 0.333 0.650
I 0.667 0.333 0.783
I 0.667 0.333 0.850
I 0.667 0.333 0.983

=====

# 4
Diffraction record for ZrU3. The X-ray diffraction stick pattern is simulated, not measured: it uses a DFT-relaxed cell (GGA-PBE, the Materials Project) and Cu Kα X-rays.

The 10 most intense peaks (2θ = 5–70°), by intensity:
d [Å]  I/Imax
2.542  100
2.107  29
1.593  25
2.435  22
1.426  18
1.490  10
3.868  8
4.870  3
2.572  3
1.851  2

a = 4.215 Å, b = 4.215 Å, c = 9.740 Å
α = 90.00°, β = 90.00°, γ = 90.00°
Element x y z (fractional)
Zr 0.000 0.000 0.000
Zr 0.500 0.500 0.500
U 0.000 0.000 0.500
U 0.000 0.500 0.250
U 0.000 0.500 0.750
U 0.500 0.000 0.250
U 0.500 0.000 0.750
U 0.500 0.500 0.000

=====

# 5
Diffraction record for SrCaU2O8. The X-ray diffraction stick pattern is simulated, not measured: it uses a DFT-relaxed cell (GGA-PBE, the Materials Project) and Cu Kα X-rays.

The 10 most intense peaks (2θ = 5–70°), by intensity:
d [Å]  I/Imax
3.178  100
6.117  53
2.725  41
1.956  37
3.332  35
1.899  30
1.648  29
3.058  29
1.863  16
1.666  16

a = 12.440 Å, b = 12.440 Å, c = 12.440 Å
α = 18.09°, β = 18.09°, γ = 18.09°
Element x y z (fractional)
Sr 0.000 0.000 0.000
Ca 0.500 0.500 0.500
U 0.248 0.248 0.248
U 0.752 0.752 0.752
O 0.072 0.072 0.072
O 0.194 0.194 0.194
O 0.302 0.302 0.302
O 0.433 0.433 0.433
O 0.567 0.567 0.567
O 0.698 0.698 0.698
O 0.806 0.806 0.806
O 0.928 0.928 0.928

=====

# 6
Diffraction record for Ba3Sc4Cu3O12. The X-ray diffraction stick pattern is simulated, not measured: it uses a DFT-relaxed cell (GGA-PBE, the Materials Project) and Cu Kα X-rays.

The 10 most intense peaks (2θ = 5–70°), by intensity:
d [Å]  I/Imax
3.003  100
2.829  56
2.127  49
3.105  38
2.115  34
1.500  28
2.759  28
1.927  17
4.255  17
2.061  15

a = 9.503 Å, b = 9.503 Å, c = 9.503 Å
α = 101.43°, β = 101.43°, γ = 127.13°
Element x y z (fractional)
Ba 0.000 0.000 0.000
Ba 0.223 0.723 0.946
Ba 0.277 0.223 0.500
Ba 0.500 0.500 0.000
Ba 0.723 0.777 0.500
Ba 0.777 0.277 0.054
Sc 0.009 0.250 0.759
Sc 0.250 0.009 0.759
Sc 0.250 0.491 0.241
Sc 0.491 0.250 0.241
Sc 0.509 0.750 0.759
Sc 0.750 0.509 0.759
Sc 0.750 0.991 0.241
Sc 0.991 0.750 0.241
Cu 0.104 0.396 0.500
Cu 0.250 0.750 0.500
Cu 0.396 0.896 0.293
Cu 0.604 0.104 0.707
Cu 0.750 0.250 0.500
Cu 0.896 0.604 0.500
O 0.001 0.262 0.264
O 0.115 0.847 0.500
O 0.123 0.123 0.745
O 0.123 0.377 0.000
O 0.153 0.653 0.268
O 0.238 0.499 0.736
O 0.262 0.999 0.261
O 0.347 0.615 0.500
O 0.377 0.123 0.000
O 0.377 0.377 0.255
O 0.385 0.885 0.732
O 0.499 0.762 0.261
O 0.501 0.238 0.739
O 0.615 0.115 0.268
O 0.623 0.623 0.745
O 0.623 0.877 0.000
O 0.653 0.385 0.500
O 0.738 0.001 0.739
O 0.762 0.501 0.264
O 0.847 0.347 0.732
O 0.877 0.623 0.000
O 0.877 0.877 0.255
O 0.885 0.153 0.500
O 0.999 0.738 0.736

=====

# 7
Diffraction record for BaAsAu. The X-ray diffraction stick pattern is simulated, not measured: it uses a DFT-relaxed cell (GGA-PBE, the Materials Project) and Cu Kα X-rays.

The 10 most intense peaks (2θ = 5–70°), by intensity:
d [Å]  I/Imax
3.024  100
2.313  55
1.632  37
1.837  24
3.674  24
1.438  21
2.305  18
4.609  13
1.435  11
2.067  10

a = 4.625 Å, b = 4.625 Å, c = 9.218 Å
α = 90.00°, β = 90.00°, γ = 120.00°
Element x y z (fractional)
Ba 0.000 0.000 0.000
Ba 0.000 0.000 0.500
As 0.333 0.667 0.250
As 0.667 0.333 0.750
Au 0.333 0.667 0.750
Au 0.667 0.333 0.250

=====

# 8
Diffraction record for Ba6Nd2Ga4O15. The X-ray diffraction stick pattern is simulated, not measured: it uses a DFT-relaxed cell (GGA-PBE, the Materials Project) and Cu Kα X-rays.

The 10 most intense peaks (2θ = 5–70°), by intensity:
d [Å]  I/Imax
2.966  100
3.004  94
3.056  53
3.141  50
2.191  45
1.696  23
2.038  21
1.794  19
1.747  18
1.754  16

a = 8.155 Å, b = 6.113 Å, c = 18.852 Å
α = 90.00°, β = 91.05°, γ = 90.00°
Element x y z (fractional)
Ba 0.000 0.165 0.250
Ba 0.000 0.835 0.750
Ba 0.001 0.256 0.580
Ba 0.001 0.744 0.080
Ba 0.468 0.241 0.909
Ba 0.468 0.759 0.409
Ba 0.500 0.225 0.250
Ba 0.500 0.775 0.750
Ba 0.532 0.241 0.591
Ba 0.532 0.759 0.091
Ba 0.999 0.256 0.920
Ba 0.999 0.744 0.420
Nd 0.252 0.245 0.090
Nd 0.252 0.755 0.590
Nd 0.748 0.245 0.410
Nd 0.748 0.755 0.910
Ga 0.253 0.254 0.439
Ga 0.253 0.746 0.939
Ga 0.271 0.278 0.736
Ga 0.271 0.722 0.236
Ga 0.729 0.278 0.764
Ga 0.729 0.722 0.264
Ga 0.747 0.254 0.061
Ga 0.747 0.746 0.561
O 0.037 0.258 0.405
O 0.037 0.742 0.905
O 0.192 0.177 0.820
O 0.192 0.823 0.320
O 0.227 0.452 0.196
O 0.227 0.548 0.696
O 0.246 0.060 0.666
O 0.246 0.940 0.166
O 0.263 0.498 0.000
O 0.263 0.502 0.500
O 0.265 0.007 0.499
O 0.265 0.993 0.999
O 0.449 0.260 0.389
O 0.449 0.740 0.889
O 0.500 0.289 0.750
O 0.500 0.711 0.250
O 0.551 0.260 0.111
O 0.551 0.740 0.611
O 0.735 0.007 0.001
O 0.735 0.993 0.501
O 0.737 0.498 0.500
O 0.737 0.502 0.000
O 0.754 0.060 0.834
O 0.754 0.940 0.334
O 0.773 0.452 0.304
O 0.773 0.548 0.804
O 0.808 0.177 0.680
O 0.808 0.823 0.180
O 0.963 0.258 0.095
O 0.963 0.742 0.595